The following is a simulated PXRD pattern of LiVF3. It was derived from a structure optimized by DFT (PBE+U), using Cu Kα.
No peak broadening, texture or thermal motion is included.

Top 10 peaks for 2θ from 10° to 80°, by intensity:
Position (°2θ)  I_rel
23.03  100.0
38.93  51.7
51.40  51.3
31.59  47.7
60.80  27.5
54.66  22.0
47.07  19.3
41.45  16.8
59.31  16.3
76.30  11.0

Structural model:
```
data_LiVF3
_chemical_formula_sum 'Li2 V2 F6'
_cell_length_a 5.695
_cell_length_b 5.695
_cell_length_c 5.695
_cell_angle_alpha 55.20
_cell_angle_beta 55.20
_cell_angle_gamma 55.20
_space_group_name_H-M_alt 'P 1'
_space_group_IT_number 1
loop_
_space_group_symop_operation_xyz
'x,y,z'
loop_
_atom_site_label
_atom_site_type_symbol
_atom_site_fract_x
_atom_site_fract_y
_atom_site_fract_z
Li1 Li 0.000 0.000 0.000
Li2 Li 0.500 0.500 0.500
V1 V 0.292 0.292 0.292
V2 V 0.792 0.792 0.792
F1 F 0.073 0.380 0.699
F2 F 0.199 0.880 0.573
F3 F 0.380 0.699 0.073
F4 F 0.573 0.199 0.880
F5 F 0.699 0.073 0.380
F6 F 0.880 0.573 0.199
```